No. 1
Diffraction record for MgMn2O4. The powder diffractogram is computed, not measured: it uses a structure optimized by DFT (PBE+U) and Cu Kα (weighted mean of Kα1 and Kα2).
Intensities are scaled so that the largest is 100.

Main lines, most intense first (10° ≤ 2θ ≤ 90°):
d [Å]  two_theta  I (rel.)
3.681  24.18  100.0
3.705  24.02  89.8
2.525  35.55  74.4
2.725  32.86  64.5
1.783  51.23  54.7
1.778  51.40  53.9
1.532  60.42  48.8
2.256  39.96  38.6
2.791  32.07  33.9
2.478  36.25  31.4

abc: 5.773 5.773 10.902
angles: 90.31 90.31 59.15
Fractional positions:
Mg: 0.000 0.500 0.500
Mg: 0.012 0.988 0.750
Mg: 0.500 0.000 0.000
Mg: 0.988 0.012 0.250
Mn: 0.224 0.720 0.018
Mn: 0.269 0.286 0.764
Mn: 0.280 0.776 0.482
Mn: 0.286 0.269 0.264
Mn: 0.714 0.731 0.736
Mn: 0.720 0.224 0.518
Mn: 0.731 0.714 0.236
Mn: 0.776 0.280 0.982
O: 0.079 0.622 0.672
O: 0.086 0.114 0.579
O: 0.096 0.622 0.183
O: 0.114 0.086 0.079
O: 0.374 0.403 0.434
O: 0.378 0.904 0.317
O: 0.378 0.921 0.828
O: 0.403 0.374 0.934
O: 0.597 0.626 0.066
O: 0.622 0.079 0.172
O: 0.622 0.096 0.683
O: 0.626 0.597 0.566
O: 0.886 0.914 0.921
O: 0.904 0.378 0.817
O: 0.914 0.886 0.421
O: 0.921 0.378 0.328

No. 2
Diffraction record for Li2CrSi4O11. The powder diffractogram is computed, not measured: it uses a structure optimized by DFT (PBE+U) and Cu Kα (weighted mean of Kα1 and Kα2).
Intensities are scaled so that the largest is 100.

Main lines, most intense first (10° ≤ 2θ ≤ 90°):
d [Å]  two_theta  I (rel.)
3.076  29.03  100.0
3.273  27.25  83.2
3.722  23.90  69.3
4.975  17.83  67.5
2.911  30.71  63.8
4.780  18.56  50.3
5.251  16.89  46.1
2.855  31.33  43.8
4.018  22.13  36.7
3.287  27.13  36.6

abc: 7.186 7.186 8.213
angles: 98.88 98.88 83.38
Fractional positions:
Li: 0.078 0.922 0.750
Li: 0.349 0.651 0.750
Li: 0.651 0.349 0.250
Li: 0.922 0.078 0.250
Cr: 0.000 0.500 0.500
Cr: 0.500 0.000 0.000
Si: 0.161 0.748 0.063
Si: 0.224 0.342 0.162
Si: 0.252 0.839 0.437
Si: 0.342 0.224 0.662
Si: 0.658 0.776 0.338
Si: 0.748 0.161 0.563
Si: 0.776 0.658 0.838
Si: 0.839 0.252 0.937
O: 0.055 0.244 0.034
O: 0.134 0.866 0.250
O: 0.149 0.731 0.552
O: 0.153 0.394 0.342
O: 0.199 0.415 0.676
O: 0.244 0.055 0.534
O: 0.260 0.536 0.090
O: 0.269 0.851 0.948
O: 0.394 0.153 0.842
O: 0.415 0.199 0.176
O: 0.464 0.740 0.410
O: 0.536 0.260 0.590
O: 0.585 0.801 0.824
O: 0.606 0.847 0.158
O: 0.731 0.149 0.052
O: 0.740 0.464 0.910
O: 0.756 0.945 0.466
O: 0.801 0.585 0.324
O: 0.847 0.606 0.658
O: 0.851 0.269 0.448
O: 0.866 0.134 0.750
O: 0.945 0.756 0.966

No. 3
Diffraction record for Mn4Be3Si3SeO12. The powder diffractogram is computed, not measured: it uses a structure optimized by DFT (PBE+U) and Cu Kα (weighted mean of Kα1 and Kα2).
Intensities are scaled so that the largest is 100.

Main lines, most intense first (10° ≤ 2θ ≤ 90°):
d [Å]  two_theta  I (rel.)
3.448  25.84  100.0
1.990  45.57  56.9
2.257  39.94  31.1
1.370  68.49  16.9
1.407  66.42  12.5
1.149  84.26  12.3
2.986  29.93  11.5
1.888  48.19  7.8
1.493  62.18  7.5
1.656  55.48  7.4

abc: 8.445 8.445 8.445
angles: 90.00 90.00 90.00
Fractional positions:
Mn: 0.178 0.178 0.178
Mn: 0.178 0.822 0.822
Mn: 0.322 0.322 0.678
Mn: 0.322 0.678 0.322
Mn: 0.678 0.322 0.322
Mn: 0.678 0.678 0.678
Mn: 0.822 0.178 0.822
Mn: 0.822 0.822 0.178
Be: 0.000 0.250 0.500
Be: 0.000 0.750 0.500
Be: 0.250 0.500 0.000
Be: 0.500 0.000 0.250
Be: 0.500 0.000 0.750
Be: 0.750 0.500 0.000
Si: 0.000 0.500 0.250
Si: 0.000 0.500 0.750
Si: 0.250 0.000 0.500
Si: 0.500 0.250 0.000
Si: 0.500 0.750 0.000
Si: 0.750 0.000 0.500
Se: 0.000 0.000 0.000
Se: 0.500 0.500 0.500
O: 0.078 0.357 0.643
O: 0.078 0.643 0.357
O: 0.143 0.143 0.422
O: 0.143 0.422 0.143
O: 0.143 0.578 0.857
O: 0.143 0.857 0.578
O: 0.357 0.078 0.643
O: 0.357 0.357 0.922
O: 0.357 0.643 0.078
O: 0.357 0.922 0.357
O: 0.422 0.143 0.143
O: 0.422 0.857 0.857
O: 0.578 0.143 0.857
O: 0.578 0.857 0.143
O: 0.643 0.078 0.357
O: 0.643 0.357 0.078
O: 0.643 0.643 0.922
O: 0.643 0.922 0.643
O: 0.857 0.143 0.578
O: 0.857 0.422 0.857
O: 0.857 0.578 0.143
O: 0.857 0.857 0.422
O: 0.922 0.357 0.357
O: 0.922 0.643 0.643

No. 4
Diffraction record for LiMn3B3O9. The powder diffractogram is computed, not measured: it uses a structure optimized by DFT (PBE+U) and Cu Kα (weighted mean of Kα1 and Kα2).
Intensities are scaled so that the largest is 100.

Main lines, most intense first (10° ≤ 2θ ≤ 90°):
d [Å]  two_theta  I (rel.)
4.512  19.67  100.0
3.944  22.54  81.9
2.548  35.22  78.1
3.986  22.30  69.2
2.678  33.46  39.8
4.382  20.26  34.1
2.411  37.30  30.8
4.266  20.82  28.8
2.191  41.20  23.6
1.769  51.68  23.5

abc: 5.784 8.119 9.172
angles: 110.57 105.01 100.78
Fractional positions:
Li: 0.015 0.327 0.104
Li: 0.985 0.673 0.896
Mn: 0.069 0.323 0.770
Mn: 0.285 0.026 0.865
Mn: 0.423 0.670 0.487
Mn: 0.577 0.330 0.513
Mn: 0.715 0.974 0.135
Mn: 0.931 0.677 0.230
B: 0.041 0.308 0.425
B: 0.253 0.006 0.207
B: 0.381 0.642 0.128
B: 0.619 0.358 0.872
B: 0.747 0.994 0.793
B: 0.959 0.692 0.575
O: 0.008 0.879 0.121
O: 0.054 0.769 0.744
O: 0.099 0.718 0.478
O: 0.259 0.577 0.963
O: 0.273 0.587 0.230
O: 0.290 0.427 0.512
O: 0.345 0.087 0.375
O: 0.383 0.222 0.794
O: 0.395 0.031 0.110
O: 0.605 0.969 0.890
O: 0.617 0.778 0.206
O: 0.655 0.913 0.625
O: 0.710 0.573 0.488
O: 0.727 0.413 0.770
O: 0.741 0.423 0.037
O: 0.901 0.282 0.522
O: 0.946 0.231 0.256
O: 0.992 0.121 0.879

No. 5
Diffraction record for HoTlMo2O8. The powder diffractogram is computed, not measured: it uses a structure optimized by DFT (PBE+U) and Cu Kα (weighted mean of Kα1 and Kα2).
Intensities are scaled so that the largest is 100.

Main lines, most intense first (10° ≤ 2θ ≤ 90°):
d [Å]  two_theta  I (rel.)
3.149  28.34  100.0
3.084  28.95  70.8
3.038  29.40  69.9
1.973  46.00  56.6
3.574  24.92  50.9
4.235  20.98  49.2
1.751  52.25  30.8
2.040  44.41  25.9
1.694  54.15  23.6
2.567  34.95  23.5

abc: 5.135 18.840 8.161
angles: 90.00 90.00 90.00
Fractional positions:
Ho: 0.000 0.006 0.250
Ho: 0.000 0.994 0.750
Ho: 0.500 0.494 0.750
Ho: 0.500 0.506 0.250
Tl: 0.000 0.231 0.750
Tl: 0.000 0.769 0.250
Tl: 0.500 0.269 0.250
Tl: 0.500 0.731 0.750
Mo: 0.022 0.401 0.015
Mo: 0.022 0.599 0.515
Mo: 0.478 0.099 0.515
Mo: 0.478 0.901 0.015
Mo: 0.522 0.099 0.985
Mo: 0.522 0.901 0.485
Mo: 0.978 0.401 0.485
Mo: 0.978 0.599 0.985
O: 0.099 0.313 0.476
O: 0.099 0.687 0.976
O: 0.233 0.403 0.839
O: 0.233 0.597 0.339
O: 0.243 0.411 0.189
O: 0.243 0.589 0.689
O: 0.246 0.036 0.006
O: 0.246 0.964 0.506
O: 0.254 0.464 0.506
O: 0.254 0.536 0.006
O: 0.257 0.089 0.689
O: 0.257 0.911 0.189
O: 0.267 0.097 0.339
O: 0.267 0.903 0.839
O: 0.401 0.187 0.976
O: 0.401 0.813 0.476
O: 0.599 0.187 0.524
O: 0.599 0.813 0.024
O: 0.733 0.097 0.161
O: 0.733 0.903 0.661
O: 0.743 0.089 0.811
O: 0.743 0.911 0.311
O: 0.746 0.464 0.994
O: 0.746 0.536 0.494
O: 0.754 0.036 0.494
O: 0.754 0.964 0.994
O: 0.757 0.411 0.311
O: 0.757 0.589 0.811
O: 0.767 0.403 0.661
O: 0.767 0.597 0.161
O: 0.901 0.313 0.024
O: 0.901 0.687 0.524